# 1
Diffraction record for ScTl2AsS4. The powder diffraction line list is theoretical, not measured: it uses DFT lattice parameters and positions (PBE) and Cu Kα.

Crystal structure
```
ScTl2AsS4
1.0
-3.9675 4.1115 5.7174
3.9675 -4.1115 5.7174
3.9675 4.1115 -5.7174
Sc Tl As S
2 4 2 8
direct
0.5000 0.0000 0.0000
0.5000 0.5000 0.5000
0.0000 0.0000 0.0000
0.0000 0.0000 0.5000
0.0000 0.5000 0.0000
0.5000 0.0000 0.5000
0.0000 0.5000 0.5000
0.5000 0.5000 0.0000
0.2692 0.3035 0.5343
0.2692 0.7349 0.9657
0.2701 0.7311 0.5391
0.3080 0.2689 0.0391
0.6920 0.7311 0.9609
0.7299 0.2689 0.4609
0.7308 0.2651 0.0343
0.7308 0.6965 0.4657
```

Main lines, low angle first (2θ from 10° to 90°):
d (Å)	I (rel.)
6.676	18
3.411	13
3.338	38
3.260	35
2.856	100
2.056	12
2.020	47
1.739	14
1.705	13
1.278	19

---

# 2
Diffraction record for Cs2UGeS6. The powder diffraction line list is theoretical, not measured: it uses DFT lattice parameters and positions (PBE) and Cu Kα.

Crystal structure
```
Cs2UGeS6
1.0
3.6069 2.0825 5.8890
-3.6069 2.0825 5.8890
0.0000 -4.1649 5.8890
Cs U Ge S
2 1 1 6
direct
0.0000 0.0000 0.0000
0.5000 0.5000 0.5000
0.2496 0.2496 0.2496
0.7493 0.7493 0.7493
0.0001 0.5002 0.5002
0.5002 0.0001 0.5002
0.5002 0.5002 0.0001
0.5009 0.9994 0.9994
0.9994 0.5009 0.9994
0.9994 0.9994 0.5009
```

Main lines, low angle first (2θ from 10° to 90°):
d (Å)	I (rel.)
5.890	18
3.607	100
3.076	12
2.550	48
2.082	46
1.803	33
1.613	21
1.363	24
1.202	12
1.141	15

---

# 3
Diffraction record for Na2TbPCO7. The powder diffraction line list is theoretical, not measured: it uses DFT lattice parameters and positions (PBE) and Cu Kα.

Crystal structure
```
Na2TbPCO7
1.0
5.1264 0.0000 0.0000
0.0000 7.0255 0.0000
-0.0478 0.0000 9.4935
Na Tb P C O
4 2 2 2 14
direct
0.2430 0.0111 0.2068
0.2430 0.4889 0.2068
0.7570 0.5111 0.7932
0.7570 0.9889 0.7932
0.2221 0.2500 0.6229
0.7779 0.7500 0.3771
0.2997 0.7500 0.5863
0.7003 0.2500 0.4137
0.2542 0.2500 0.9142
0.7458 0.7500 0.0858
0.0271 0.2500 0.8497
0.1810 0.5690 0.6524
0.1810 0.9310 0.6524
0.2423 0.7500 0.4230
0.2808 0.2500 0.0463
0.3971 0.2500 0.3969
0.4569 0.2500 0.8277
0.5431 0.7500 0.1723
0.6029 0.7500 0.6031
0.7192 0.7500 0.9537
0.7577 0.2500 0.5770
0.8190 0.0690 0.3476
0.8190 0.4310 0.3476
0.9729 0.7500 0.1503
```

Main lines, low angle first (2θ from 10° to 90°):
d (Å)	I (rel.)
5.647	100
4.513	50
4.141	89
3.513	69
3.492	52
3.474	66
3.294	37
2.771	67
2.563	39
2.474	35

---

# 4
Diffraction record for Ac4Pb3. The powder diffraction line list is theoretical, not measured: it uses DFT lattice parameters and positions (PBE) and Cu Kα.

Crystal structure
```
Ac4Pb3
1.0
-5.1566 5.1566 5.1566
5.1566 -5.1566 5.1566
5.1566 5.1566 -5.1566
Ac Pb
8 6
direct
0.0000 0.1358 0.5000
0.0000 0.6358 0.5000
0.1358 0.5000 0.0000
0.3642 0.3642 0.3642
0.5000 0.0000 0.1358
0.5000 0.0000 0.6358
0.6358 0.5000 0.0000
0.8642 0.8642 0.8642
0.1250 0.8750 0.2500
0.2500 0.1250 0.8750
0.3750 0.6250 0.7500
0.6250 0.7500 0.3750
0.7500 0.3750 0.6250
0.8750 0.2500 0.1250
```

Main lines, low angle first (2θ from 10° to 90°):
d (Å)	I (rel.)
3.261	100
2.756	63
2.306	13
2.105	16
2.023	26
1.673	28
1.631	13
1.591	15
1.403	20
1.112	13

---

# 5
Diffraction record for Ce3GeO3. The powder diffraction line list is theoretical, not measured: it uses DFT lattice parameters and positions (PBE) and Cu Kα.

Crystal structure
```
Ce3GeO3
1.0
3.4168 1.9727 7.1275
-3.4168 1.9727 7.1275
0.0000 -3.9454 7.1275
Ce Ge O
6 2 6
direct
0.0547 0.7513 0.4045
0.2487 0.5955 0.9453
0.4045 0.0547 0.7513
0.5955 0.9453 0.2487
0.7513 0.4045 0.0547
0.9453 0.2487 0.5955
0.1666 0.1666 0.1666
0.8334 0.8334 0.8334
0.0557 0.3705 0.6973
0.3027 0.9443 0.6295
0.3705 0.6973 0.0557
0.6295 0.3027 0.9443
0.6973 0.0557 0.3705
0.9443 0.6295 0.3027
```

Main lines, low angle first (2θ from 10° to 90°):
d (Å)	I (rel.)
3.564	17
3.417	14
3.081	100
2.466	37
1.973	32
1.951	21
1.726	12
1.661	16
1.518	14
1.271	12

---

# 6
Diffraction record for CdB4Pt12. The powder diffraction line list is theoretical, not measured: it uses DFT lattice parameters and positions (PBE) and Cu Kα.

Crystal structure
```
CdB4Pt12
1.0
-3.9580 3.9580 3.9580
3.9580 -3.9580 3.9580
3.9580 3.9580 -3.9580
Cd B Pt
1 4 12
direct
0.0000 0.0000 0.0000
0.0000 0.0000 0.5000
0.0000 0.5000 0.0000
0.5000 0.0000 0.0000
0.5000 0.5000 0.5000
0.1465 0.8239 0.3225
0.1761 0.3225 0.4986
0.1761 0.6775 0.8535
0.3225 0.1465 0.8239
0.3225 0.4986 0.1761
0.4986 0.1761 0.3225
0.5014 0.8239 0.6775
0.6775 0.5014 0.8239
0.6775 0.8535 0.1761
0.8239 0.3225 0.1465
0.8239 0.6775 0.5014
0.8535 0.1761 0.6775
```

Main lines, low angle first (2θ from 10° to 90°):
d (Å)	I (rel.)
2.799	12
2.503	100
2.285	16
2.116	57
1.616	9
1.552	11
1.358	29
1.319	14
1.284	20
1.167	17

---

# 7
Diffraction record for Ti2ClF. The powder diffraction line list is theoretical, not measured: it uses DFT lattice parameters and positions (PBE) and Cu Kα.

Crystal structure
```
Ti2ClF
1.0
4.0656 0.0000 0.0000
0.0000 4.0656 0.0000
0.0000 0.0000 15.0053
Ti Cl F
8 4 4
direct
0.2238 0.2500 0.1250
0.2500 0.7238 0.3750
0.2500 0.7762 0.8750
0.2762 0.2500 0.6250
0.7238 0.7500 0.6250
0.7500 0.2238 0.8750
0.7500 0.2762 0.3750
0.7762 0.7500 0.1250
0.0000 0.0000 0.5000
0.0000 0.5000 0.7500
0.5000 0.0000 0.2500
0.5000 0.5000 0.0000
0.0000 0.0000 0.0000
0.0000 0.5000 0.2500
0.5000 0.0000 0.7500
0.5000 0.5000 0.5000
```

Main lines, low angle first (2θ from 10° to 90°):
d (Å)	I (rel.)
3.751	8
2.684	100
1.887	32
1.876	15
1.787	48
1.437	10
1.330	9
1.267	13
1.143	10
1.141	9

---

# 8
Diffraction record for Li13Al3. The powder diffraction line list is theoretical, not measured: it uses DFT lattice parameters and positions (PBE) and Cu Kα.

Crystal structure
```
Li13Al3
1.0
6.3209 0.0000 0.0000
0.0000 4.7611 4.7285
0.0000 -4.7611 4.7285
Li Al
13 3
direct
0.0000 0.0000 0.0000
0.0000 0.0022 0.4808
0.0000 0.4808 0.0022
0.0000 0.4809 0.4809
0.2579 0.2367 0.7456
0.2579 0.7456 0.2367
0.2594 0.7480 0.7480
0.5000 0.0021 0.4827
0.5000 0.4791 0.4791
0.5000 0.4827 0.0021
0.7406 0.7480 0.7480
0.7421 0.2367 0.7456
0.7421 0.7456 0.2367
0.2543 0.2381 0.2381
0.5000 0.0000 0.0000
0.7457 0.2381 0.2381
```

Main lines, low angle first (2θ from 10° to 90°):
d (Å)	I (rel.)
6.710	100
4.761	33
2.859	16
2.628	15
2.381	25
2.364	24
2.300	90
1.678	17
1.358	16
1.352	15